Structure and calculated X-ray powder pattern of YCd5Hg4 (a structure optimized by DFT (GGA-PBE); Cu Kα, 1.54184 Å).

Largest 6 diffraction maxima, by angle, 10 to 90 degrees two-theta:
2theta	I_rel
25.4	40
36.0	33
36.2	65
36.5	100
52.2	32
65.5	26

Crystal structure
```
data_YCd5Hg4
_cell_length_a 16.4495
_cell_length_b 4.9234
_cell_length_c 6.9957
_cell_angle_alpha 90.00
_cell_angle_beta 114.56
_cell_angle_gamma 90.00
_space_group_name_H-M_alt 'C 1 2/m 1'
_space_group_IT_number 12
_space_group_name_Hall '-C 2y'
loop_
_atom_site_label
_atom_site_fract_x
_atom_site_fract_y
_atom_site_fract_z
Y1 0.0000 0.0000 0.0000
Cd1 0.0000 0.0000 0.5000
Cd2 0.1584 0.5000 0.1560
Cd3 0.1794 0.0000 0.4457
Hg1 0.0042 0.5000 0.2816
Hg2 0.1746 0.0000 0.9063
```